Calculated powder diffractogram of Sr2YI7 for Cu Kα X-rays, from the GGA-PBE geometry in the Materials Project.

Structure:
Cell lengths 7.8074, 17.3045, 11.9654 Å; angles 90.00, 90.64, 90.00 degrees
Positions (direct):
Sr1 0.2142 0.2190 0.0489
Sr2 0.2142 0.2810 0.5489
Sr3 0.2209 0.5572 0.1755
Sr4 0.2209 0.9428 0.6755
Sr5 0.7791 0.0572 0.3245
Sr6 0.7791 0.4428 0.8245
Sr7 0.7858 0.7190 0.4511
Sr8 0.7858 0.7810 0.9511
Y1 0.2830 0.6315 0.7224
Y2 0.2830 0.8685 0.2224
Y3 0.7170 0.1315 0.7776
Y4 0.7170 0.3685 0.2776
I1 0.0027 0.2384 0.2999
I2 0.0027 0.2616 0.7999
I3 0.0072 0.6063 0.9244
I4 0.0072 0.8937 0.4244
I5 0.1835 0.0394 0.2098
I6 0.1835 0.4606 0.7098
I7 0.1935 0.6421 0.4718
I8 0.1935 0.8579 0.9718
I9 0.3647 0.0727 0.8780
I10 0.3647 0.4273 0.3780
I11 0.4958 0.1034 0.5641
I12 0.4958 0.3966 0.0641
I13 0.4965 0.7153 0.2196
I14 0.4965 0.7847 0.7196
I15 0.5035 0.2153 0.2804
I16 0.5035 0.2847 0.7804
I17 0.5042 0.6034 0.9359
I18 0.5042 0.8966 0.4359
I19 0.6353 0.5727 0.6220
I20 0.6353 0.9273 0.1220
I21 0.8065 0.1421 0.0282
I22 0.8065 0.3579 0.5282
I23 0.8165 0.5394 0.2902
I24 0.8165 0.9606 0.7902
I25 0.9928 0.1063 0.5756
I26 0.9928 0.3937 0.0756
I27 0.9973 0.7384 0.2001
I28 0.9973 0.7616 0.7001

Most intense lines, 15 to 90 degrees two-theta, most intense first:
hkl	2theta	I_rel
2 1 1	24.60	100
2 2 -2	29.07	97
0 6 1	31.89	92
0 1 4	30.32	82
2 2 3	33.95	71
2 3 -2	31.33	64
0 4 2	25.42	62
2 3 -1	28.53	40
1 4 1	24.72	38
1 5 0	28.21	38
1 1 3	25.72	34
0 7 4	47.74	32